Simulated X-ray powder pattern
Compound: SrHgO2
Radiation: Cu Kα
Structure: a structure optimized by DFT (GGA-PBE)

Main lines, sorted by position (2θ from 10° to 90°):
2θ 26.8, I = 24.3; 2θ 27.8, I = 26.5; 2θ 28.0, I = 100.0; 2θ 32.4, I = 52.2; 2θ 46.3, I = 26.6; 2θ 46.6, I = 28.9; 2θ 54.9, I = 17.4; 2θ 55.1, I = 25.1

Lattice parameters (Å, degrees): 3.8998 3.8998 19.2441 90.00 90.00 120.00
Space group R-3m (No. 166, hexagonal axes)
Symmetry-distinct sites (fractional):
Sr 0.0000 0.0000 0.0000 x3
Hg 0.0000 0.0000 0.5000 x3
O 0.0000 0.0000 0.3960 x6